No. 1
Starting from the GGA-PBE geometry in Alexandria, the powder X-ray diffraction pattern of Mg6NbCuO8 was computed for copper Kα.

Crystal structure
abc: 4.2745 4.2745 8.8686
angles: 90.00 90.00 90.00
Space group P4/mmm (No. 123)
One atom of each set of equivalent atoms:
Mg 0.0000 0.0000 0.0000 x1
Mg 0.0000 0.5000 0.2427 x4
Mg 0.5000 0.5000 0.0000 x1
Nb 0.0000 0.0000 0.5000 x1
Cu 0.5000 0.5000 0.5000 x1
O 0.0000 0.0000 0.2450 x2
O 0.0000 0.5000 0.0000 x2
O 0.0000 0.5000 0.5000 x2
O 0.5000 0.5000 0.2326 x2

Top 12 peaks for 2θ from 5° to 70°, low angle first:
- 8.869 Å, 2θ = 9.97°, intensity 85, hkl 0 0 1
- 4.434 Å, 2θ = 20.02°, intensity 23, hkl 0 0 2
- 3.023 Å, 2θ = 29.55°, intensity 18, hkl 1 1 0
- 2.956 Å, 2θ = 30.23°, intensity 13, hkl 0 0 3
- 2.861 Å, 2θ = 31.26°, intensity 30, hkl 1 1 1
- 2.498 Å, 2θ = 35.96°, intensity 56, hkl 1 1 2
- 2.217 Å, 2θ = 40.69°, intensity 55, hkl 0 0 4
- 2.137 Å, 2θ = 42.29°, intensity 100, hkl 2 0 0
- 2.113 Å, 2θ = 42.79°, intensity 12, hkl 1 1 3
- 2.078 Å, 2θ = 43.56°, intensity 10, hkl 2 0 1
- 1.539 Å, 2θ = 60.13°, intensity 61, hkl 2 0 4
- 1.511 Å, 2θ = 61.34°, intensity 29, hkl 2 2 0

---

No. 2
Starting from the GGA-PBE geometry in Alexandria, the powder X-ray diffraction pattern of YMgNbCu2 was computed for copper Kα.

Crystal structure
abc: 4.9696 4.9696 5.0400
angles: 90.00 90.00 90.00
Space group P4/mmm (No. 123)
One atom of each set of equivalent atoms:
Y 0.0000 0.0000 0.0000 x1
Mg 0.5000 0.5000 0.5000 x1
Nb 0.0000 0.0000 0.5000 x1
Cu 0.0000 0.5000 0.0000 x2

Top 12 peaks for 2θ from 5° to 70°, low angle first:
- 5.040 Å, 2θ = 17.60°, intensity 22, hkl 0 0 1
- 4.970 Å, 2θ = 17.85°, intensity 100, hkl 1 0 0
- 2.883 Å, 2θ = 31.02°, intensity 56, hkl 1 1 1
- 2.520 Å, 2θ = 35.63°, intensity 41, hkl 0 0 2
- 2.485 Å, 2θ = 36.15°, intensity 79, hkl 2 0 0
- 2.248 Å, 2θ = 40.12°, intensity 24, hkl 1 0 2
- 2.222 Å, 2θ = 40.59°, intensity 24, hkl 2 1 0
- 1.769 Å, 2θ = 51.66°, intensity 55, hkl 2 0 2
- 1.757 Å, 2θ = 52.05°, intensity 27, hkl 2 2 0
- 1.667 Å, 2θ = 55.10°, intensity 19, hkl 2 1 2
- 1.500 Å, 2θ = 61.84°, intensity 14, hkl 3 1 1
- 1.441 Å, 2θ = 64.67°, intensity 27, hkl 2 2 2